Simulated X-ray powder pattern
Compound: Cs2TiCl2F4
Radiation: a wavelength of 1.5418 Å
Structure: a cell relaxed with PBE
Peak positions follow from Bragg's law for the DFT cell and can differ from measured ones.

Principal peaks in the range 10 to 90 degrees two-theta, low angle first:
2theta	I_rel
13.50	899
19.14	925
19.29	582
21.14	1000
25.51	776
27.34	638
32.09	607
32.41	622
34.42	608
39.15	590

Atomic structure:
```
Cs2TiCl2F4
1.0
5.6151 -3.4921 0.0000
5.6151 3.4921 0.0000
-1.1350 0.0000 6.5596
Cs Ti Cl F
2 1 2 4
direct
0.1825 0.1825 0.2071
0.8175 0.8175 0.7929
0.5000 0.5000 0.0000
0.3336 0.3336 0.7189
0.6664 0.6664 0.2811
0.2294 0.6138 0.1257
0.3862 0.7706 0.8743
0.6138 0.2294 0.1257
0.7706 0.3862 0.8743
```


Simulated X-ray powder pattern
Compound: Pr8Dy4Er3
Radiation: a wavelength of 1.5418 Å
Structure: a cell relaxed with PBE
Peak positions follow from Bragg's law for the DFT cell and can differ from measured ones.

Principal peaks in the range 10 to 90 degrees two-theta, low angle first:
2theta	I_rel
26.35	206
29.37	318
29.81	590
30.93	1000
35.54	723
50.42	240
51.86	386
59.67	178
60.97	475
84.94	176

Atomic structure:
```
Pr8Dy4Er3
1.0
3.5260 2.0357 11.9871
-3.5260 2.0357 11.9871
0.0000 -4.0714 11.9871
Pr Dy Er
8 4 3
direct
0.2455 0.2455 0.2455
0.2481 0.7502 0.7502
0.2498 0.2498 0.7519
0.2498 0.7519 0.2498
0.7502 0.2481 0.7502
0.7502 0.7502 0.2481
0.7519 0.2498 0.2498
0.7545 0.7545 0.7545
0.0000 0.0000 0.0000
0.3355 0.3355 0.3355
0.5000 0.5000 0.5000
0.6645 0.6645 0.6645
0.0000 0.0000 0.5000
0.0000 0.5000 0.0000
0.5000 0.0000 0.0000
```


Simulated X-ray powder pattern
Compound: Tb2HoPa2Ru5
Radiation: a wavelength of 1.5418 Å
Structure: a cell relaxed with PBE
Peak positions follow from Bragg's law for the DFT cell and can differ from measured ones.

Principal peaks in the range 10 to 90 degrees two-theta, low angle first:
2theta	I_rel
18.68	167
26.54	219
34.13	197
34.82	176
35.87	220
36.22	1000
37.88	137
39.18	293
41.97	231
49.58	189

Atomic structure:
```
Tb2HoPa2Ru5
1.0
10.6224 0.0000 0.0000
0.0000 10.6224 0.0000
0.0000 0.0000 3.6771
Tb Ho Pa Ru
4 2 4 10
direct
0.1727 0.3273 0.0000
0.3273 0.8273 0.0000
0.6727 0.1727 0.0000
0.8273 0.6727 0.0000
0.0000 0.0000 0.0000
0.5000 0.5000 0.0000
0.1348 0.6348 0.0000
0.3652 0.1348 0.0000
0.6348 0.8652 0.0000
0.8652 0.3652 0.0000
0.0000 0.5000 0.5000
0.0543 0.7915 0.5000
0.2085 0.0543 0.5000
0.2915 0.5543 0.5000
0.4457 0.2915 0.5000
0.5000 0.0000 0.5000
0.5543 0.7085 0.5000
0.7085 0.4457 0.5000
0.7915 0.9457 0.5000
0.9457 0.2085 0.5000
```


Simulated X-ray powder pattern
Compound: Rb2TePF6
Radiation: a wavelength of 1.5418 Å
Structure: a cell relaxed with PBE
Peak positions follow from Bragg's law for the DFT cell and can differ from measured ones.

Principal peaks in the range 10 to 90 degrees two-theta, low angle first:
2theta	I_rel
25.46	1000
29.95	102
36.32	267
39.71	128
44.88	286
52.31	131
59.05	242
71.34	207
82.78	109
88.37	61

Atomic structure:
```
Rb2TePF6
1.0
0.0000 4.9468 4.9468
4.9468 0.0000 4.9468
4.9468 4.9468 0.0000
Rb Te P F
2 1 1 6
direct
0.2500 0.2500 0.2500
0.7500 0.7500 0.7500
0.0000 0.0000 0.0000
0.5000 0.5000 0.5000
0.3340 0.3340 0.6660
0.3340 0.6660 0.3340
0.3340 0.6660 0.6660
0.6660 0.3340 0.3340
0.6660 0.3340 0.6660
0.6660 0.6660 0.3340
```


Simulated X-ray powder pattern
Compound: HfZr2Sb2N2
Radiation: a wavelength of 1.5418 Å
Structure: a cell relaxed with PBE
Peak positions follow from Bragg's law for the DFT cell and can differ from measured ones.

Principal peaks in the range 10 to 90 degrees two-theta, low angle first:
2theta	I_rel
22.34	113
30.64	761
36.91	1000
43.89	336
58.64	512
63.80	107
70.24	133
72.43	129
76.05	118
78.55	111

Atomic structure:
```
HfZr2Sb2N2
1.0
-2.0631 2.0631 7.5430
2.0631 -2.0631 7.5430
2.0631 2.0631 -7.5430
Hf Zr Sb N
1 2 2 2
direct
0.0000 0.0000 0.0000
0.3986 0.3986 0.0000
0.6014 0.6014 0.0000
0.1944 0.1944 0.0000
0.8056 0.8056 0.0000
0.0000 0.5000 0.5000
0.5000 0.0000 0.5000
```


Simulated X-ray powder pattern
Compound: Ti4ZnPt2
Radiation: a wavelength of 1.5418 Å
Structure: a cell relaxed with PBE
Peak positions follow from Bragg's law for the DFT cell and can differ from measured ones.

Principal peaks in the range 10 to 90 degrees two-theta, low angle first:
2theta	I_rel
20.73	261
24.81	1000
28.27	552
31.31	179
43.13	693
43.24	826
46.21	304
54.34	233
62.72	223
79.26	359

Atomic structure:
```
Ti4ZnPt2
1.0
2.0925 1.2081 8.5715
-2.0925 1.2081 8.5715
0.0000 -2.4162 8.5715
Ti Zn Pt
4 1 2
direct
0.1183 0.1183 0.1183
0.2975 0.2975 0.2975
0.7025 0.7025 0.7025
0.8817 0.8817 0.8817
0.5000 0.5000 0.5000
0.4002 0.4002 0.4002
0.5998 0.5998 0.5998
```


Simulated X-ray powder pattern
Compound: TaGaNiRh
Radiation: a wavelength of 1.5418 Å
Structure: a cell relaxed with PBE
Peak positions follow from Bragg's law for the DFT cell and can differ from measured ones.

Principal peaks in the range 10 to 90 degrees two-theta, low angle first:
2theta	I_rel
25.47	239
40.59	1000
45.24	366
51.01	128
52.63	69
65.91	116
70.53	190
80.36	264
87.86	108
88.99	105

Atomic structure:
```
TaGaNiRh
1.0
-2.0043 2.0043 3.5806
2.0043 -2.0043 3.5806
2.0043 2.0043 -3.5806
Ta Ga Ni Rh
1 1 1 1
direct
0.0000 0.0000 0.0000
0.5000 0.5000 0.0000
0.2500 0.7500 0.5000
0.7500 0.2500 0.5000
```